This entry pairs a crystal structure of Li9Mn2Co5O16 with its theoretical X-ray powder pattern. Radiation: copper Kα. Structure: a crystal structure in the Materials Project, relaxed with GGA+U.
Kinematic intensities with the Lorentz-polarization factor, no thermal factor.

Most intense lines, 2θ = 15–90°, in order of rising 2θ:
(hkl), two_theta, Rel. int.
0 1 -1, 18.4, 100
1 0 3, 34.8, 18
-1 1 4, 36.3, 13
0 0 8, 36.7, 11
0 2 -2, 37.3, 8
1 1 2, 41.7, 33
-1 2 3, 44.2, 27
0 1 -9, 44.8, 25
-2 1 1, 62.4, 8
-1 1 12, 65.2, 9

Cell: 2.9787 5.0864 19.6310 Å, 91.75 92.74 104.42°
Element x y z (fractional)
Li1 0.0000 0.0000 0.0000
Li2 0.0519 0.2955 0.8155
Li3 0.1727 0.9262 0.4399
Li4 0.2682 0.5382 0.0574
Li5 0.4225 0.1761 0.6899
Li6 0.5475 0.7935 0.3165
Li7 0.6706 0.4130 0.9399
Li8 0.7982 0.0462 0.5656
Li9 0.9357 0.6865 0.1901
Mn1 0.2261 0.2312 0.2529
Mn2 0.6031 0.1103 0.1219
Co1 0.1108 0.6118 0.6276
Co2 0.3669 0.8646 0.8812
Co3 0.4813 0.4877 0.5035
Co4 0.7398 0.7333 0.7530
Co5 0.8668 0.3611 0.3782
O1 0.0303 0.1167 0.9044
O2 0.0925 0.4709 0.7168
O3 0.1262 0.7500 0.5373
O4 0.1830 0.0976 0.3452
O5 0.2250 0.3560 0.1579
O6 0.3258 0.7113 0.9595
O7 0.3789 0.9940 0.7884
O8 0.4288 0.3489 0.5941
O9 0.5467 0.9667 0.2177
O10 0.5489 0.6213 0.4111
O11 0.6490 0.2692 0.0396
O12 0.6812 0.5996 0.8424
O13 0.7901 0.8722 0.6610
O14 0.8440 0.2237 0.4678
O15 0.9142 0.5016 0.2869
O16 0.9922 0.8692 0.0985